[1]
Structure and computed powder diffraction line list of ZrRh4 (a crystal structure in Alexandria, relaxed with PBE; Cu Kα (λ = 1.5418 Å)).

Main lines, in order of rising 2θ (2θ = 5–70°):
- 35.04 deg, I = 6.0
- 39.57 deg, I = 85.9
- 39.85 deg, I = 100.0
- 42.29 deg, I = 34.4
- 43.17 deg, I = 40.5
- 44.10 deg, I = 13.5
- 52.21 deg, I = 4.8
- 52.55 deg, I = 18.4
- 62.03 deg, I = 21.6
- 67.65 deg, I = 9.9

Structural model:
```
ZrRh4
1.0
-2.0956 2.7697 6.7179
2.0956 -2.7697 6.7179
2.0956 2.7697 -6.7179
Zr Rh
2 8
Direct
0.3560 0.1060 0.2500
0.6440 0.8940 0.7500
0.0000 0.5000 0.5000
0.1443 0.8943 0.2500
0.1842 0.6961 0.4881
0.2920 0.3039 0.9881
0.5000 0.5000 0.0000
0.7080 0.6961 0.0119
0.8158 0.3039 0.5119
0.8557 0.1057 0.7500
```

[2]
Structure and computed powder diffraction line list of Ho2GeTe (a crystal structure in Alexandria, relaxed with PBE; Cu Kα (λ = 1.5418 Å)).

Main lines, in order of rising 2θ (2θ = 5–70°):
- 24.78 deg, I = 24.6
- 25.80 deg, I = 21.9
- 29.56 deg, I = 33.6
- 32.11 deg, I = 100.0
- 38.18 deg, I = 27.2
- 43.00 deg, I = 54.5
- 48.95 deg, I = 17.0
- 54.67 deg, I = 22.1
- 58.28 deg, I = 10.2
- 68.53 deg, I = 16.0

Structural model:
```
Ho2GeTe
1.0
2.1033 1.2143 7.2147
-2.1033 1.2143 7.2147
0.0000 -2.4287 7.2147
Ho Ge Te
2 1 1
Direct
0.0000 0.0000 0.0000
0.1903 0.1903 0.1903
0.5967 0.5967 0.5967
0.4272 0.4272 0.4272
```

[3]
Structure and computed powder diffraction line list of BaCu2BiF8 (a crystal structure in Alexandria, relaxed with PBE; Cu Kα (λ = 1.5418 Å)).

Main lines, in order of rising 2θ (2θ = 5–70°):
- 17.08 deg, I = 100.0
- 20.58 deg, I = 57.0
- 28.71 deg, I = 92.7
- 29.81 deg, I = 79.3
- 37.92 deg, I = 33.3
- 41.86 deg, I = 52.4
- 46.30 deg, I = 22.7
- 50.17 deg, I = 22.1
- 52.23 deg, I = 40.7
- 67.92 deg, I = 17.1

Structural model:
```
BaCu2BiF8
1.0
5.9952 0.0000 0.0000
-2.9976 5.1920 0.0000
0.0000 0.0000 7.7656
Ba Cu Bi F
1 2 1 8
Direct
0.0000 0.0000 0.0000
0.3333 0.6667 0.1877
0.6667 0.3333 0.8123
0.0000 0.0000 0.5000
0.1565 0.3131 0.2950
0.1565 0.8435 0.2950
0.3131 0.1565 0.7050
0.3333 0.6667 0.9465
0.6667 0.3333 0.0535
0.6869 0.8435 0.2950
0.8435 0.1565 0.7050
0.8435 0.6869 0.7050
```

[4]
Structure and computed powder diffraction line list of PmCd5Pd6 (a crystal structure in Alexandria, relaxed with PBE; Cu Kα (λ = 1.5418 Å)).

Main lines, in order of rising 2θ (2θ = 5–70°):
- 28.43 deg, I = 0.8
- 34.31 deg, I = 0.8
- 37.20 deg, I = 100.0
- 38.14 deg, I = 92.8
- 39.68 deg, I = 82.7
- 51.19 deg, I = 19.5
- 55.99 deg, I = 14.6
- 58.73 deg, I = 12.4
- 66.65 deg, I = 33.9
- 69.77 deg, I = 29.2

Structural model:
```
PmCd5Pd6
1.0
4.7566 0.0000 0.0000
0.0000 6.5694 0.0000
-1.4792 0.0000 7.0776
Pm Cd Pd
1 5 6
Direct
0.0000 0.0000 0.0000
0.0000 0.5000 0.0000
0.3456 0.5000 0.6698
0.3497 0.0000 0.6631
0.6503 0.0000 0.3369
0.6544 0.5000 0.3302
0.1553 0.2574 0.3391
0.1553 0.7426 0.3391
0.5000 0.2623 0.0000
0.5000 0.7377 0.0000
0.8447 0.2574 0.6609
0.8447 0.7426 0.6609
```

[5]
Structure and computed powder diffraction line list of Pm4NdY2 (a crystal structure in Alexandria, relaxed with PBE; Cu Kα (λ = 1.5418 Å)).

Main lines, in order of rising 2θ (2θ = 5–70°):
- 30.01 deg, I = 100.0
- 30.57 deg, I = 39.1
- 31.23 deg, I = 63.3
- 31.97 deg, I = 37.1
- 32.11 deg, I = 29.1
- 36.83 deg, I = 25.5
- 44.16 deg, I = 11.8
- 50.09 deg, I = 20.2
- 54.83 deg, I = 20.3
- 60.22 deg, I = 14.5

Structural model:
```
Pm4NdY2
1.0
0.0000 12.2019 3.2550
6.0240 0.0000 3.2550
6.0240 12.2019 0.0000
Pm Nd Y
8 2 4
Direct
0.0222 0.9778 0.1214
0.1286 0.3714 0.2278
0.3714 0.1286 0.2722
0.4463 0.6036 0.2687
0.5686 0.9813 0.6464
0.6036 0.4463 0.6814
0.9778 0.0222 0.8786
0.9813 0.5686 0.8037
0.4805 0.4805 0.5195
0.7305 0.7305 0.7695
0.0543 0.5422 0.0135
0.2365 0.8600 0.1957
0.5422 0.0543 0.3900
0.8600 0.2365 0.7078
```

[6]
Structure and computed powder diffraction line list of Cu4Hg (a crystal structure in Alexandria, relaxed with PBE; Cu Kα (λ = 1.5418 Å)).

Main lines, in order of rising 2θ (2θ = 5–70°):
- 20.01 deg, I = 12.1
- 25.05 deg, I = 25.9
- 27.65 deg, I = 26.9
- 36.36 deg, I = 17.4
- 41.85 deg, I = 100.0
- 42.45 deg, I = 98.3
- 47.35 deg, I = 8.7
- 51.41 deg, I = 5.3
- 54.27 deg, I = 6.1
- 61.13 deg, I = 32.6

Structural model:
```
Cu4Hg
1.0
2.1296 1.2295 4.4373
-2.1296 1.2295 4.4373
0.0000 -2.4590 4.4373
Cu Hg
4 1
Direct
0.0913 0.0913 0.0913
0.2969 0.2969 0.2969
0.7031 0.7031 0.7031
0.9087 0.9087 0.9087
0.5000 0.5000 0.5000
```

[7]
Structure and computed powder diffraction line list of Sr4SeS2Cl (a crystal structure in Alexandria, relaxed with PBE; Cu Kα (λ = 1.5418 Å)).

Main lines, in order of rising 2θ (2θ = 5–70°):
- 25.26 deg, I = 9.2
- 29.24 deg, I = 100.0
- 41.72 deg, I = 35.4
- 41.81 deg, I = 12.3
- 41.99 deg, I = 24.2
- 51.57 deg, I = 5.9
- 51.86 deg, I = 12.7
- 52.08 deg, I = 6.2
- 60.58 deg, I = 7.5
- 68.63 deg, I = 15.2

Structural model:
```
Sr4SeS2Cl
1.0
7.4431 0.0000 0.0000
0.0000 4.3213 0.0000
-2.4839 0.0000 7.0886
Sr Se S Cl
4 1 2 1
Direct
0.2387 0.0000 0.2318
0.2498 0.5000 0.7634
0.7502 0.5000 0.2366
0.7613 0.0000 0.7682
0.0000 0.0000 0.5000
0.0000 0.5000 0.0000
0.5000 0.0000 0.0000
0.5000 0.5000 0.5000
```

[8]
Structure and computed powder diffraction line list of Tm5Bi4 (a crystal structure in Alexandria, relaxed with PBE; Cu Kα (λ = 1.5418 Å)).

Main lines, in order of rising 2θ (2θ = 5–70°):
- 10.43 deg, I = 57.0
- 20.95 deg, I = 24.3
- 26.26 deg, I = 100.0
- 30.26 deg, I = 44.2
- 33.41 deg, I = 77.7
- 33.83 deg, I = 84.7
- 37.10 deg, I = 96.4
- 41.20 deg, I = 34.4
- 54.05 deg, I = 47.2
- 66.35 deg, I = 38.5

Structural model:
```
Tm5Bi4
1.0
-5.9964 5.9964 2.1911
5.9964 -5.9964 2.1911
5.9964 5.9964 -2.1911
Tm Bi
5 4
Direct
0.0000 0.0000 0.0000
0.2939 0.6064 0.9003
0.3936 0.2939 0.6875
0.6064 0.7061 0.3125
0.7061 0.3936 0.0997
0.0782 0.7462 0.8244
0.2538 0.0782 0.3320
0.7462 0.9218 0.6680
0.9218 0.2538 0.1756
```